Simulated powder diffraction line list
Compound: CsP2H5O8
Radiation: Cu Kα (λ = 1.5418 Å)
Structure: a cell relaxed with PBE

```
CsP2H5O8
1.0
6.992 0.000 0.000
0.420 7.997 0.000
2.868 1.809 7.449
Cs P H O
2 4 10 16
direct
0.104 0.296 0.166
0.896 0.704 0.834
0.205 0.243 0.668
0.384 0.826 0.296
0.616 0.174 0.704
0.795 0.757 0.332
0.185 0.771 0.154
0.245 0.037 0.518
0.280 0.549 0.467
0.411 0.681 0.877
0.417 0.628 0.707
0.583 0.372 0.293
0.589 0.319 0.123
0.720 0.451 0.533
0.755 0.963 0.482
0.815 0.229 0.846
0.020 0.295 0.808
0.163 0.062 0.643
0.264 0.684 0.463
0.295 0.370 0.488
0.338 0.809 0.127
0.340 0.607 0.836
0.348 0.000 0.338
0.377 0.215 0.766
0.623 0.785 0.234
0.652 0.000 0.662
0.660 0.393 0.164
0.662 0.191 0.873
0.705 0.630 0.512
0.736 0.316 0.537
0.837 0.938 0.357
0.980 0.705 0.192
```

The 8 most intense peaks (10° ≤ 2θ ≤ 90°), sorted by position:
- (1 1 1), 2θ 17.02, I = 80
- (1 1 0), 2θ 18.02, I = 64
- (0 2 0), 2θ 22.89, I = 91
- (0 1 2), 2θ 23.92, I = 100
- (0 2 -1), 2θ 28.30, I = 50
- (2 -1 1), 2θ 28.91, I = 65
- (2 0 2), 2θ 29.39, I = 69
- (2 1 0), 2θ 29.99, I = 48

---

Simulated powder diffraction line list
Compound: Cs3P3HO9
Radiation: Cu Kα (λ = 1.5418 Å)
Structure: a cell relaxed with PBE

```
Cs3P3HO9
1.0
8.048 0.000 0.000
0.733 8.285 0.000
0.849 3.852 9.970
Cs P H O
6 6 2 18
direct
0.111 0.212 0.166
0.240 0.759 0.519
0.370 0.707 0.131
0.630 0.293 0.869
0.760 0.241 0.481
0.889 0.788 0.834
0.079 0.269 0.752
0.257 0.272 0.498
0.358 0.011 0.760
0.642 0.989 0.240
0.743 0.728 0.502
0.921 0.731 0.248
0.292 0.521 0.911
0.708 0.479 0.089
0.052 0.404 0.815
0.063 0.839 0.245
0.145 0.172 0.452
0.152 0.360 0.597
0.244 0.145 0.819
0.260 0.860 0.772
0.359 0.410 0.399
0.388 0.136 0.603
0.477 0.019 0.177
0.523 0.981 0.823
0.612 0.864 0.397
0.641 0.590 0.601
0.740 0.140 0.228
0.756 0.855 0.181
0.848 0.640 0.403
0.855 0.828 0.548
0.937 0.161 0.755
0.948 0.596 0.185
```

The 8 most intense peaks (10° ≤ 2θ ≤ 90°), sorted by position:
- (1 0 2), 2θ 20.50, I = 48
- (-1 1 2), 2θ 21.48, I = 65
- (0 2 0), 2θ 23.02, I = 100
- (0 2 2), 2θ 23.51, I = 51
- (2 1 0), 2θ 24.38, I = 63
- (1 2 2), 2θ 24.98, I = 71
- (-2 1 1), 2θ 26.21, I = 47
- (0 0 3), 2θ 26.83, I = 94